[1]
# Pm6NdTm6
Calculated powder X-ray diffraction pattern, a wavelength of 1.5418 Å. Input: DFT lattice parameters and positions (PBE).
Lines closer than 0.1° are merged.

Cell and atoms:
a b c (Å): 6.705 6.705 11.396
angles (deg): 90.00 90.00 120.00
Fractional positions:
Pm 0.000 0.000 0.155
Pm 0.000 0.000 0.845
Pm 0.333 0.667 0.000
Pm 0.333 0.667 0.500
Pm 0.667 0.333 0.000
Pm 0.667 0.333 0.500
Nd 0.000 0.000 0.500
Tm 0.000 0.500 0.254
Tm 0.000 0.500 0.746
Tm 0.500 0.000 0.254
Tm 0.500 0.000 0.746
Tm 0.500 0.500 0.254
Tm 0.500 0.500 0.746

Top 8 peaks for 10° ≤ 2θ ≤ 90°, low angle first:
d/Å  I/Imax
3.353  30
2.904  57
2.890  78
2.849  31
2.587  100
2.558  30
1.676  35
1.653  29

[2]
# PmNd4Tm3
Calculated powder X-ray diffraction pattern, a wavelength of 1.5418 Å. Input: DFT lattice parameters and positions (PBE).
Lines closer than 0.1° are merged.

Cell and atoms:
a b c (Å): 10.208 7.200 7.198
angles (deg): 90.00 90.00 90.00
Fractional positions:
Pm 0.000 0.000 0.000
Pm 0.500 0.000 0.500
Nd 0.000 0.000 0.500
Nd 0.000 0.500 0.000
Nd 0.250 0.252 0.250
Nd 0.250 0.748 0.750
Nd 0.500 0.000 0.000
Nd 0.500 0.500 0.500
Nd 0.750 0.252 0.250
Nd 0.750 0.748 0.750
Tm 0.000 0.500 0.500
Tm 0.250 0.252 0.750
Tm 0.250 0.748 0.250
Tm 0.500 0.500 0.000
Tm 0.750 0.252 0.750
Tm 0.750 0.748 0.250

Top 8 peaks for 10° ≤ 2θ ≤ 90°, low angle first:
d/Å  I/Imax
2.942  100
2.547  51
1.801  36
1.538  14
1.535  29
1.471  12
1.169  12
1.139  11

[3]
# PmNd7Tm3
Calculated powder X-ray diffraction pattern, a wavelength of 1.5418 Å. Input: DFT lattice parameters and positions (PBE).
Lines closer than 0.1° are merged.

Cell and atoms:
a b c (Å): 10.276 10.276 12.551
angles (deg): 114.22 114.22 41.24
Fractional positions:
Pm 0.000 0.000 0.000
Pm 0.000 0.000 0.500
Nd 0.080 0.585 0.471
Nd 0.081 0.584 0.972
Nd 0.235 0.765 0.750
Nd 0.332 0.346 0.225
Nd 0.346 0.332 0.725
Nd 0.415 0.920 0.029
Nd 0.416 0.919 0.528
Nd 0.584 0.081 0.472
Nd 0.585 0.080 0.971
Nd 0.654 0.668 0.275
Nd 0.668 0.654 0.775
Nd 0.765 0.235 0.250
Nd 0.919 0.416 0.028
Nd 0.920 0.415 0.529
Tm 0.165 0.173 0.276
Tm 0.173 0.165 0.776
Tm 0.500 0.500 0.000
Tm 0.500 0.500 0.500
Tm 0.827 0.835 0.224
Tm 0.835 0.827 0.724

Top 8 peaks for 10° ≤ 2θ ≤ 90°, low angle first:
d/Å  I/Imax
3.113  31
3.048  29
2.882  51
2.823  100
2.689  29
2.681  57
1.811  26
1.532  30

[4]
# Pm12NdTm2
Calculated powder X-ray diffraction pattern, a wavelength of 1.5418 Å. Input: DFT lattice parameters and positions (PBE).
Lines closer than 0.1° are merged.

Cell and atoms:
a b c (Å): 6.779 6.779 24.977
angles (deg): 93.41 93.41 116.39
Fractional positions:
Pm 0.029 0.596 0.701
Pm 0.080 0.545 0.828
Pm 0.126 0.660 0.056
Pm 0.167 0.167 0.078
Pm 0.184 0.184 0.665
Pm 0.200 0.758 0.572
Pm 0.242 0.800 0.428
Pm 0.340 0.874 0.944
Pm 0.352 0.352 0.379
Pm 0.370 0.370 0.925
Pm 0.404 0.971 0.299
Pm 0.455 0.920 0.172
Pm 0.545 0.080 0.828
Pm 0.596 0.029 0.701
Pm 0.630 0.630 0.075
Pm 0.648 0.648 0.621
Pm 0.660 0.126 0.056
Pm 0.758 0.200 0.572
Pm 0.800 0.242 0.428
Pm 0.816 0.816 0.335
Pm 0.833 0.833 0.922
Pm 0.874 0.340 0.944
Pm 0.920 0.455 0.172
Pm 0.971 0.404 0.299
Nd 0.259 0.259 0.516
Nd 0.741 0.741 0.484
Tm 0.037 0.037 0.794
Tm 0.447 0.447 0.225
Tm 0.553 0.553 0.775
Tm 0.963 0.963 0.206

Top 8 peaks for 10° ≤ 2θ ≤ 90°, low angle first:
d/Å  I/Imax
3.102  17
3.019  41
2.966  24
2.877  100
2.858  25
2.826  17
2.755  16
2.699  16

[5]
# Pm2NdTm6
Calculated powder X-ray diffraction pattern, a wavelength of 1.5418 Å. Input: DFT lattice parameters and positions (PBE).
Lines closer than 0.1° are merged.

Cell and atoms:
a b c (Å): 9.507 9.507 6.537
angles (deg): 98.54 98.54 95.38
Fractional positions:
Pm 0.115 0.169 0.373
Pm 0.169 0.115 0.873
Pm 0.831 0.885 0.127
Pm 0.885 0.831 0.627
Nd 0.379 0.621 0.750
Nd 0.621 0.379 0.250
Tm 0.038 0.443 0.735
Tm 0.154 0.778 0.000
Tm 0.222 0.846 0.500
Tm 0.280 0.454 0.182
Tm 0.443 0.038 0.235
Tm 0.454 0.280 0.682
Tm 0.546 0.720 0.318
Tm 0.557 0.962 0.765
Tm 0.720 0.546 0.818
Tm 0.778 0.154 0.500
Tm 0.846 0.222 0.000
Tm 0.962 0.557 0.265

Top 8 peaks for 10° ≤ 2θ ≤ 90°, low angle first:
d/Å  I/Imax
3.078  72
2.862  100
2.852  87
2.825  100
2.743  68
2.680  47
2.651  60
2.615  55

[6]
# Pm4NdTm2
Calculated powder X-ray diffraction pattern, a wavelength of 1.5418 Å. Input: DFT lattice parameters and positions (PBE).
Lines closer than 0.1° are merged.

Cell and atoms:
a b c (Å): 12.546 6.805 13.522
angles (deg): 67.05 29.96 82.98
Fractional positions:
Pm 0.021 0.979 0.122
Pm 0.128 0.372 0.229
Pm 0.372 0.128 0.271
Pm 0.449 0.604 0.264
Pm 0.567 0.986 0.646
Pm 0.604 0.449 0.683
Pm 0.979 0.021 0.878
Pm 0.986 0.567 0.801
Nd 0.487 0.487 0.513
Nd 0.737 0.737 0.763
Tm 0.059 0.544 0.009
Tm 0.241 0.862 0.191
Tm 0.544 0.059 0.388
Tm 0.862 0.241 0.706

Top 8 peaks for 10° ≤ 2θ ≤ 90°, low angle first:
d/Å  I/Imax
2.958  100
2.907  33
2.843  64
2.782  33
2.768  24
2.425  27
1.808  20
1.663  21